(1)
Calculated X-ray powder pattern of LiAg2As2 for Cu Kα, from a DFT-relaxed cell (GGA-PBE, OQMD).
Peak positions follow from Bragg's law for the DFT cell and can differ from measured ones.

Crystal structure
a = 4.295 Å, b = 4.295 Å, c = 11.295 Å
α = 90.00°, β = 90.00°, γ = 90.00°
Space group I4/mmm (No. 139)
Symmetry-distinct sites (fractional):
Li1 0.000 0.000 0.000 [2 per cell]
Ag1 0.000 0.500 0.250 [4 per cell]
As1 0.000 0.000 0.394 [4 per cell]

Principal peaks in the range 2θ = 15–90°, in order of rising 2θ:
| hkl | 2theta | Rel. int. |
| --- | --- | --- |
| 0 0 2 | 15.7 | 75.2 |
| 1 0 1 | 22.1 | 55.2 |
| 1 1 2 | 33.5 | 100.0 |
| 2 0 0 | 42.1 | 54.7 |
| 1 1 4 | 43.8 | 84.1 |
| 3 1 4 | 78.1 | 29.1 |

(2)
Calculated X-ray powder pattern of Dy2Sc2I5N for Cu Kα, from a DFT-relaxed cell (GGA-PBE, OQMD).
Peak positions follow from Bragg's law for the DFT cell and can differ from measured ones.

Crystal structure
a = 20.134 Å, b = 3.823 Å, c = 8.434 Å
α = 90.00°, β = 101.82°, γ = 90.00°
Space group C2/m (No. 12)
Symmetry-distinct sites (fractional):
Dy1 0.000 0.000 0.189 [4 per cell]
Sc1 0.110 0.500 0.054 [4 per cell]
I1 0.000 0.500 0.500 [2 per cell]
I2 0.154 0.000 0.317 [4 per cell]
I3 0.155 0.000 0.834 [4 per cell]
N1 0.000 0.500 0.000 [2 per cell]

Principal peaks in the range 2θ = 15–90°, in order of rising 2θ:
| hkl | 2theta | Rel. int. |
| --- | --- | --- |
| 1 1 0 | 23.7 | 34.5 |
| 6 0 0 | 27.1 | 59.7 |
| 1 1 -2 | 31.6 | 100.0 |
| 7 1 0 | 39.8 | 27.8 |
| 5 1 2 | 42.1 | 28.7 |
| 7 1 -2 | 42.2 | 29.3 |

(3)
Calculated X-ray powder pattern of CdP2H6O7 for Cu Kα, from a DFT-relaxed cell (GGA-PBE, OQMD).
Peak positions follow from Bragg's law for the DFT cell and can differ from measured ones.

Crystal structure
a = 6.736 Å, b = 7.308 Å, c = 7.891 Å
α = 113.63°, β = 111.37°, γ = 94.65°
Space group P-1 (No. 2)
Symmetry-distinct sites (fractional):
Cd1 0.069 0.262 0.365 [2 per cell]
P1 0.194 0.262 0.845 [2 per cell]
P2 0.386 0.751 0.529 [2 per cell]
H1 0.134 0.838 0.068 [2 per cell]
H2 0.152 0.450 0.946 [2 per cell]
H3 0.317 0.775 0.981 [2 per cell]
H4 0.364 0.954 0.595 [2 per cell]
H5 0.398 0.248 0.132 [2 per cell]
H6 0.477 0.308 0.698 [2 per cell]
O1 0.005 0.911 0.227 [2 per cell]
O2 0.159 0.770 0.943 [2 per cell]
O3 0.187 0.622 0.518 [2 per cell]
O4 0.255 0.267 0.678 [2 per cell]
O5 0.371 0.674 0.308 [2 per cell]
O6 0.390 0.244 0.319 [2 per cell]
O7 0.413 0.251 0.006 [2 per cell]

Principal peaks in the range 2θ = 15–90°, in order of rising 2θ:
| hkl | 2theta | Rel. int. |
| --- | --- | --- |
| 0 1 -2 | 24.2 | 49.0 |
| 1 0 -2 | 24.8 | 25.5 |
| 0 2 0 | 27.6 | 100.0 |
| -2 1 1 | 29.3 | 41.9 |
| 2 1 -1 | 30.7 | 38.5 |
| 1 -1 2 | 32.5 | 39.1 |

(4)
Calculated X-ray powder pattern of HfAsNO for Cu Kα, from a DFT-relaxed cell (GGA-PBE, OQMD).
Peak positions follow from Bragg's law for the DFT cell and can differ from measured ones.

Crystal structure
a = 5.299 Å, b = 8.045 Å, c = 5.464 Å
α = 90.00°, β = 90.00°, γ = 90.00°
Space group Pca2_1 (No. 29)
Symmetry-distinct sites (fractional):
Hf1 0.056 0.106 0.000 [4 per cell]
As1 0.244 0.504 0.744 [4 per cell]
N1 0.249 0.947 0.751 [4 per cell]
O1 0.242 0.277 0.744 [4 per cell]

Principal peaks in the range 2θ = 15–90°, in order of rising 2θ:
| hkl | 2theta | Rel. int. |
| --- | --- | --- |
| 1 1 1 | 25.9 | 71.8 |
| 1 2 1 | 32.4 | 100.0 |
| 0 1 2 | 34.7 | 68.1 |
| 2 1 0 | 35.7 | 44.8 |
| 1 3 1 | 41.2 | 45.3 |
| 2 0 2 | 47.8 | 37.2 |

(5)
Calculated X-ray powder pattern of Mg2B2PIr5 for Cu Kα, from a DFT-relaxed cell (GGA-PBE, OQMD).
Peak positions follow from Bragg's law for the DFT cell and can differ from measured ones.

Crystal structure
a = 9.356 Å, b = 9.356 Å, c = 2.942 Å
α = 90.00°, β = 90.00°, γ = 90.00°
Space group P4/mbm (No. 127)
Symmetry-distinct sites (fractional):
Mg1 0.174 0.326 0.000 [4 per cell]
B1 0.126 0.626 0.000 [4 per cell]
P1 0.000 0.000 0.000 [2 per cell]
Ir1 0.000 0.500 0.500 [2 per cell]
Ir2 0.073 0.791 0.500 [8 per cell]

Principal peaks in the range 2θ = 15–90°, in order of rising 2θ:
| hkl | 2theta | Rel. int. |
| --- | --- | --- |
| 3 1 0 | 30.2 | 66.5 |
| 0 0 1 | 30.4 | 100.0 |
| 3 2 0 | 34.6 | 58.0 |
| 4 1 0 | 39.7 | 79.9 |
| 3 1 1 | 43.4 | 93.4 |
| 3 2 1 | 46.7 | 59.8 |

(6)
Calculated X-ray powder pattern of Pr2Dy2CI3Cl2 for Cu Kα, from a DFT-relaxed cell (GGA-PBE, OQMD).
Peak positions follow from Bragg's law for the DFT cell and can differ from measured ones.

Crystal structure
a = 18.715 Å, b = 3.985 Å, c = 8.898 Å
α = 90.00°, β = 101.03°, γ = 90.00°
Space group C2/m (No. 12)
Symmetry-distinct sites (fractional):
Pr1 0.000 0.000 0.197 [4 per cell]
Dy1 0.131 0.500 0.061 [4 per cell]
C1 0.000 0.500 0.000 [2 per cell]
I1 0.000 0.500 0.500 [2 per cell]
I2 0.176 0.000 0.829 [4 per cell]
Cl1 0.156 0.000 0.275 [4 per cell]

Principal peaks in the range 2θ = 15–90°, in order of rising 2θ:
| hkl | 2theta | Rel. int. |
| --- | --- | --- |
| 4 0 1 | 23.5 | 21.8 |
| 6 0 0 | 29.2 | 35.8 |
| 1 1 -2 | 30.1 | 100.0 |
| 5 1 0 | 33.2 | 30.1 |
| 5 1 -1 | 33.3 | 31.7 |
| 7 1 -2 | 43.1 | 21.3 |

(7)
Calculated X-ray powder pattern of Nd2Sn2Se2O5 for Cu Kα, from a DFT-relaxed cell (GGA-PBE, OQMD).
Peak positions follow from Bragg's law for the DFT cell and can differ from measured ones.

Crystal structure
a = 5.667 Å, b = 5.667 Å, c = 12.635 Å
α = 90.00°, β = 102.92°, γ = 90.00°
Space group C2/m (No. 12)
Symmetry-distinct sites (fractional):
Nd1 0.166 0.000 0.331 [4 per cell]
Sn1 0.079 0.500 0.157 [4 per cell]
Se1 0.206 0.500 0.412 [4 per cell]
O1 0.000 0.500 0.000 [2 per cell]
O2 0.147 0.250 0.795 [8 per cell]

Principal peaks in the range 2θ = 15–90°, in order of rising 2θ:
| hkl | 2theta | Rel. int. |
| --- | --- | --- |
| 1 1 -2 | 24.7 | 36.5 |
| 0 2 0 | 31.6 | 90.4 |
| 1 1 -4 | 33.9 | 100.0 |
| 0 2 4 | 43.4 | 30.3 |
| 2 2 -1 | 45.3 | 48.2 |
| 3 1 -5 | 57.7 | 44.3 |

(8)
Calculated X-ray powder pattern of HfZr2Si2 for Cu Kα, from a DFT-relaxed cell (GGA-PBE, OQMD).
Peak positions follow from Bragg's law for the DFT cell and can differ from measured ones.

Crystal structure
a = 7.075 Å, b = 7.075 Å, c = 3.703 Å
α = 90.00°, β = 90.00°, γ = 90.00°
Space group P4/mbm (No. 127)
Symmetry-distinct sites (fractional):
Hf1 0.000 0.000 0.000 [2 per cell]
Zr1 0.174 0.326 0.500 [4 per cell]
Si1 0.123 0.623 0.000 [4 per cell]

Principal peaks in the range 2θ = 15–90°, in order of rising 2θ:
| hkl | 2theta | Rel. int. |
| --- | --- | --- |
| 1 1 0 | 17.7 | 35.1 |
| 1 1 1 | 30.0 | 64.5 |
| 2 0 1 | 35.1 | 100.0 |
| 2 1 1 | 37.4 | 63.8 |
| 3 1 0 | 40.3 | 70.4 |
| 3 1 2 | 65.4 | 33.4 |

(9)
Calculated X-ray powder pattern of SrReAsO for Cu Kα, from a DFT-relaxed cell (GGA-PBE, OQMD).
Peak positions follow from Bragg's law for the DFT cell and can differ from measured ones.

Crystal structure
a = 3.940 Å, b = 4.548 Å, c = 7.836 Å
α = 90.00°, β = 90.00°, γ = 90.00°
Space group Pmc2_1 (No. 26)
Symmetry-distinct sites (fractional):
Sr1 0.000 0.246 0.000 [2 per cell]
Re1 0.500 0.256 0.333 [2 per cell]
As1 0.500 0.250 0.667 [2 per cell]
O1 0.000 0.252 0.333 [2 per cell]

Principal peaks in the range 2θ = 15–90°, in order of rising 2θ:
| hkl | 2theta | Rel. int. |
| --- | --- | --- |
| 1 0 0 | 22.6 | 41.6 |
| 1 0 2 | 32.2 | 100.0 |
| 0 2 0 | 39.6 | 25.1 |
| 0 1 3 | 39.8 | 49.8 |
| 2 0 0 | 46.1 | 25.8 |
| 2 1 3 | 62.5 | 25.9 |